Entry 1:
Structure and simulated X-ray diffraction stick pattern of ReN2 (the GGA-PBE geometry in OQMD; copper Kα).

Structure:
a b c (Å): 4.808 4.808 2.885
angles (deg): 90.00 90.00 90.00
Space group P4_2nm (No. 102)
Inequivalent atoms, fractional coordinates:
Re: 0.000 0.000 0.000 (multiplicity 2)
N: 0.206 0.206 0.567 (multiplicity 4)

Most intense lines, 2θ = 15–90°, by intensity:
hkl 1 1 0, 2θ 26.2, I = 100; hkl 1 0 1, 2θ 36.3, I = 78; hkl 2 1 1, 2θ 53.1, I = 60; hkl 2 0 0, 2θ 37.4, I = 30; hkl 3 1 0, 2θ 60.9, I = 18; hkl 3 0 1, 2θ 66.8, I = 17; hkl 3 2 1, 2θ 79.1, I = 16; hkl 2 2 0, 2θ 53.9, I = 16

***

Entry 2:
Structure and simulated X-ray diffraction stick pattern of Tb3In3Ag2Pd (the GGA-PBE geometry in OQMD; copper Kα).

Structure:
a b c (Å): 7.7704 7.7704 3.9473
angles (deg): 90.00 90.00 120.00
Space group P-62m (No. 189)
Inequivalent atoms, fractional coordinates:
Tb: 0.0000 0.5962 0.0000 (multiplicity 3)
In: 0.0000 0.2544 0.5000 (multiplicity 3)
Ag: 0.3333 0.6667 0.5000 (multiplicity 2)
Pd: 0.0000 0.0000 0.0000 (multiplicity 1)

Most intense lines, 2θ = 15–90°, by intensity:
hkl 1 1 1, 2θ 32.3, I = 100; hkl 2 0 1, 2θ 35.0, I = 82; hkl 2 1 0, 2θ 35.3, I = 47; hkl 3 0 0, 2θ 40.2, I = 38; hkl 3 2 1, 2θ 64.8, I = 30; hkl 0 0 2, 2θ 46.0, I = 23; hkl 2 1 1, 2θ 42.3, I = 23; hkl 2 1 2, 2θ 59.3, I = 20